[1]
Diffraction record for K2Al2B2O7. The PXRD pattern is theoretical, not measured: it uses a DFT-relaxed cell (GGA-PBE, the Materials Project) and λ = 1.5418 Å (Cu Kα).

Structural model:
```
data_K2Al2B2O7
_cell_length_a 8.6610
_cell_length_b 8.6610
_cell_length_c 8.5995
_cell_angle_alpha 90.00
_cell_angle_beta 90.00
_cell_angle_gamma 120.00
_symmetry_space_group_name_H-M 'P 3 2 1'
_symmetry_Int_Tables_number 150
_symmetry_space_group_name_Hall 'P 3 2"'
loop_
_atom_site_label
_atom_site_fract_x
_atom_site_fract_y
_atom_site_fract_z
K1 0.0000 0.3099 0.0000
K2 0.0000 0.3583 0.5000
Al1 0.0000 0.0000 0.2993
Al2 0.3333 0.6667 0.1826
Al3 0.3333 0.6667 0.7788
B1 0.0011 0.6660 0.7434
O1 0.0000 0.0000 0.5000
O2 0.0563 0.8425 0.2263
O3 0.1171 0.6018 0.2523
O4 0.1783 0.7266 0.7075
O5 0.3333 0.6667 0.9808
```

Largest 8 diffraction maxima, most intense first, 10 to 90 degrees two-theta:
| Position (°2θ) | intensity | index |
| --- | --- | --- |
| 29.3 | 100 | 1 1 2 |
| 35.9 | 27 | 3 0 0 |
| 41.8 | 22 | 2 2 0 |
| 42.0 | 15 | 0 0 4 |
| 60.5 | 14 | 1 4 2 |
| 37.5 | 13 | 0 3 1 |
| 25.9 | 11 | 2 0 1 |
| 33.3 | 11 | 1 2 1 |


[2]
Diffraction record for K2Al2B2O7. The PXRD pattern is theoretical, not measured: it uses a DFT-relaxed cell (GGA-PBE, the Materials Project) and λ = 1.5418 Å (Cu Kα).

Structural model:
```
data_K2Al2B2O7
_cell_length_a 15.0126
_cell_length_b 8.6662
_cell_length_c 8.5803
_cell_angle_alpha 90.00
_cell_angle_beta 90.09
_cell_angle_gamma 90.00
_symmetry_space_group_name_H-M 'C 1 2 1'
_symmetry_Int_Tables_number 5
_symmetry_space_group_name_Hall 'C 2y'
loop_
_atom_site_label
_atom_site_fract_x
_atom_site_fract_y
_atom_site_fract_z
K1 0.0000 0.0000 0.0000
K2 0.0000 0.0528 0.5000
K3 0.1549 0.5156 0.4982
K4 0.1790 0.5410 0.0000
Al1 0.0000 0.3664 0.2014
Al2 0.1667 0.8606 0.2827
Al3 0.1668 0.8610 0.6864
B1 0.0006 0.6960 0.2472
B2 0.1663 0.1930 0.2430
B3 0.1667 0.1953 0.7581
O1 0.0000 0.3799 0.0000
O2 0.0271 0.5483 0.7148
O3 0.0588 0.8174 0.7563
O4 0.0778 0.2269 0.7315
O5 0.0895 0.7225 0.2117
O6 0.1064 0.3104 0.2725
O7 0.1360 0.0451 0.2111
O8 0.1664 0.8611 0.4844
O9 0.1981 0.0456 0.7546
O10 0.2257 0.3147 0.7887
O11 0.2431 0.7210 0.7550
```

Largest 8 diffraction maxima, most intense first, 10 to 90 degrees two-theta:
| Position (°2θ) | intensity | index |
| --- | --- | --- |
| 29.3 | 100 | 0 2 2 |
| 35.9 | 27 | 6 0 0 |
| 41.7 | 17 | 6 2 0 |
| 42.1 | 15 | 0 0 4 |
| 60.5 | 14 | 3 5 2 |
| 37.4 | 13 | 6 0 -1 |
| 25.9 | 12 | 2 2 -1 |
| 20.7 | 11 | 0 0 2 |


[3]
Diffraction record for K2AlB5O14. The PXRD pattern is theoretical, not measured: it uses a DFT-relaxed cell (GGA-PBE, the Materials Project) and λ = 1.5418 Å (Cu Kα).

Structural model:
```
data_K2AlB5O14
_cell_length_a 7.0102
_cell_length_b 13.4217
_cell_length_c 7.0348
_cell_angle_alpha 90.00
_cell_angle_beta 90.35
_cell_angle_gamma 90.00
_symmetry_space_group_name_H-M 'P 1 21 1'
_symmetry_Int_Tables_number 4
_symmetry_space_group_name_Hall 'P 2yb'
loop_
_atom_site_label
_atom_site_fract_x
_atom_site_fract_y
_atom_site_fract_z
K1 0.0226 0.0000 0.4037
K2 0.4147 0.2133 0.0531
Al1 0.1214 0.8610 0.8817
B1 0.2067 0.7855 0.2525
B2 0.2310 0.7327 0.5845
B3 0.2500 0.4373 0.2041
B4 0.3234 0.6105 0.3180
B5 0.4174 0.9904 0.7689
O1 0.0195 0.1099 0.0185
O2 0.1265 0.3630 0.1603
O3 0.1584 0.8591 0.1299
O4 0.1819 0.8046 0.4478
O5 0.1919 0.5281 0.2737
O6 0.2181 0.7528 0.7720
O7 0.2293 0.9690 0.7863
O8 0.2548 0.2438 0.5662
O9 0.2814 0.6963 0.1945
O10 0.2864 0.3191 0.6628
O11 0.2883 0.6399 0.5211
O12 0.4454 0.4175 0.1841
O13 0.4520 0.5413 0.7219
O14 0.4762 0.0825 0.7075
```

Largest 8 diffraction maxima, most intense first, 10 to 90 degrees two-theta:
| Position (°2θ) | intensity | index |
| --- | --- | --- |
| 14.2 | 100 | 0 1 1 |
| 26.2 | 88 | 0 1 2 |
| 31.5 | 73 | 2 2 1 |
| 32.2 | 64 | 1 4 -1 |
| 28.7 | 64 | 2 2 0 |
| 18.3 | 63 | 1 2 0 |
| 29.1 | 44 | 2 1 -1 |
| 44.4 | 31 | 1 5 -2 |


[4]
Diffraction record for K2AlB5O14. The PXRD pattern is theoretical, not measured: it uses a DFT-relaxed cell (GGA-PBE, the Materials Project) and λ = 1.5418 Å (Cu Kα).

Structural model:
```
data_K2AlB5O14
_cell_length_a 9.6929
_cell_length_b 10.1395
_cell_length_c 12.9661
_cell_angle_alpha 90.00
_cell_angle_beta 90.00
_cell_angle_gamma 90.00
_symmetry_space_group_name_H-M 'C 2 2 21'
_symmetry_Int_Tables_number 20
_symmetry_space_group_name_Hall 'C 2c 2'
loop_
_atom_site_label
_atom_site_fract_x
_atom_site_fract_y
_atom_site_fract_z
K1 0.2187 0.1881 0.3997
Al1 0.0000 0.1095 0.7500
B1 0.0844 0.3192 0.6203
B2 0.1630 0.5000 0.5000
B3 0.2361 0.0293 0.1775
O1 0.0000 0.3113 0.2500
O2 0.0032 0.2130 0.6393
O3 0.0103 0.0000 0.5000
O4 0.0628 0.3765 0.1783
O5 0.0764 0.3851 0.5280
O6 0.1461 0.0058 0.7473
O7 0.1801 0.3602 0.6955
O8 0.2494 0.0411 0.9124
```

Largest 8 diffraction maxima, most intense first, 10 to 90 degrees two-theta:
| Position (°2θ) | intensity | index |
| --- | --- | --- |
| 26.4 | 100 | 2 2 1 |
| 14.4 | 72 | 1 1 1 |
| 32.2 | 50 | 3 1 2 |
| 29.0 | 48 | 2 2 2 |
| 19.6 | 47 | 2 0 1 |
| 18.6 | 40 | 1 1 2 |
| 30.4 | 36 | 1 1 4 |
| 28.8 | 33 | 1 3 1 |


[5]
Diffraction record for La2AlB2Os2. The PXRD pattern is theoretical, not measured: it uses a DFT-relaxed cell (GGA-PBE, the Materials Project) and λ = 1.5418 Å (Cu Kα).

Structural model:
```
data_La2AlB2Os2
_cell_length_a 16.6654
_cell_length_b 6.1023
_cell_length_c 10.4579
_cell_angle_alpha 90.00
_cell_angle_beta 113.54
_cell_angle_gamma 90.00
_symmetry_space_group_name_H-M 'C 1 2/c 1'
_symmetry_Int_Tables_number 15
_symmetry_space_group_name_Hall '-C 2yc'
loop_
_atom_site_label
_atom_site_fract_x
_atom_site_fract_y
_atom_site_fract_z
La1 0.0554 0.1002 0.1670
La2 0.2462 0.1675 0.8497
Al1 0.0721 0.4011 0.6002
B1 0.1124 0.1185 0.9408
B2 0.1927 0.4040 0.3827
Os1 0.0778 0.4259 0.8680
Os2 0.1713 0.1689 0.5160
```

Largest 8 diffraction maxima, most intense first, 10 to 90 degrees two-theta:
| Position (°2θ) | intensity | index |
| --- | --- | --- |
| 31.6 | 100 | 2 2 -1 |
| 33.7 | 62 | 3 1 2 |
| 34.2 | 57 | 1 1 3 |
| 30.7 | 35 | 5 1 -1 |
| 37.5 | 28 | 3 1 -4 |
| 30.0 | 25 | 1 1 -3 |
| 61.2 | 25 | 8 2 -5 |
| 40.1 | 24 | 6 0 -4 |


[6]
Diffraction record for LaAl2BRu2. The PXRD pattern is theoretical, not measured: it uses a DFT-relaxed cell (GGA-PBE, the Materials Project) and λ = 1.5418 Å (Cu Kα).

Structural model:
```
data_LaAl2BRu2
_cell_length_a 4.2293
_cell_length_b 4.2293
_cell_length_c 5.6799
_cell_angle_alpha 90.00
_cell_angle_beta 90.00
_cell_angle_gamma 90.00
_symmetry_space_group_name_H-M 'P 4/m m m'
_symmetry_Int_Tables_number 123
_symmetry_space_group_name_Hall '-P 4 2'
loop_
_atom_site_label
_atom_site_fract_x
_atom_site_fract_y
_atom_site_fract_z
La1 0.0000 0.0000 0.0000
Al1 0.5000 0.5000 0.2458
B1 0.0000 0.0000 0.5000
Ru1 0.0000 0.5000 0.5000
```

Largest 8 diffraction maxima, most intense first, 10 to 90 degrees two-theta:
| Position (°2θ) | intensity | index |
| --- | --- | --- |
| 33.9 | 100 | 1 1 1 |
| 42.8 | 38 | 2 0 0 |
| 26.3 | 27 | 1 0 1 |
| 38.2 | 25 | 1 0 2 |
| 31.5 | 24 | 0 0 2 |
| 72.6 | 21 | 3 1 1 |
| 57.6 | 21 | 1 1 3 |
| 54.1 | 20 | 2 0 2 |


Repeat the fifth record exactly.
Diffraction record for La2AlB2Os2. The PXRD pattern is theoretical, not measured: it uses a DFT-relaxed cell (GGA-PBE, the Materials Project) and λ = 1.5418 Å (Cu Kα).

Structural model:
```
data_La2AlB2Os2
_cell_length_a 16.6654
_cell_length_b 6.1023
_cell_length_c 10.4579
_cell_angle_alpha 90.00
_cell_angle_beta 113.54
_cell_angle_gamma 90.00
_symmetry_space_group_name_H-M 'C 1 2/c 1'
_symmetry_Int_Tables_number 15
_symmetry_space_group_name_Hall '-C 2yc'
loop_
_atom_site_label
_atom_site_fract_x
_atom_site_fract_y
_atom_site_fract_z
La1 0.0554 0.1002 0.1670
La2 0.2462 0.1675 0.8497
Al1 0.0721 0.4011 0.6002
B1 0.1124 0.1185 0.9408
B2 0.1927 0.4040 0.3827
Os1 0.0778 0.4259 0.8680
Os2 0.1713 0.1689 0.5160
```

Largest 8 diffraction maxima, most intense first, 10 to 90 degrees two-theta:
| Position (°2θ) | intensity | index |
| --- | --- | --- |
| 31.6 | 100 | 2 2 -1 |
| 33.7 | 62 | 3 1 2 |
| 34.2 | 57 | 1 1 3 |
| 30.7 | 35 | 5 1 -1 |
| 37.5 | 28 | 3 1 -4 |
| 30.0 | 25 | 1 1 -3 |
| 61.2 | 25 | 8 2 -5 |
| 40.1 | 24 | 6 0 -4 |